1.
Structure and calculated powder XRD pattern of TlInGaHg4 (DFT lattice parameters and positions (GGA-PBE); λ = 1.5418 Å (Cu Kα)).
Peak positions follow from Bragg's law for the DFT cell and can differ from measured ones.

Top 10 peaks for 15 to 90 degrees two-theta, sorted by position:
Position (°2θ)	Rel. int.
29.71	34
30.88	43
31.93	63
32.20	59
33.78	100
34.95	28
35.16	23
36.59	40
39.83	24
44.32	32

Crystal structure
a = 6.788 Å, b = 6.788 Å, c = 10.382 Å
α = 97.61°, β = 97.61°, γ = 52.80°
Element x y z (fractional)
1 Tl 0.097 0.097 0.172
2 Tl 0.903 0.903 0.828
3 In 0.404 0.404 0.085
4 In 0.596 0.596 0.915
5 Ga 0.225 0.225 0.463
6 Ga 0.775 0.775 0.537
7 Hg 0.166 0.666 0.371
8 Hg 0.184 0.184 0.899
9 Hg 0.334 0.834 0.629
10 Hg 0.365 0.365 0.713
11 Hg 0.635 0.635 0.287
12 Hg 0.666 0.166 0.371
13 Hg 0.816 0.816 0.101
14 Hg 0.834 0.334 0.629

=====

2.
Structure and calculated powder XRD pattern of Tb3Pm8Sm2 (DFT lattice parameters and positions (GGA-PBE); λ = 1.5418 Å (Cu Kα)).
Peak positions follow from Bragg's law for the DFT cell and can differ from measured ones.

Top 10 peaks for 15 to 90 degrees two-theta, sorted by position:
Position (°2θ)	Rel. int.
30.18	100
30.20	33
34.99	68
50.33	48
59.81	57
62.75	12
62.80	4
73.94	5
81.87	20
84.48	18

Crystal structure
a = 6.277 Å, b = 6.282 Å, c = 11.471 Å
α = 89.97°, β = 79.50°, γ = 80.41°
Element x y z (fractional)
1 Tb 0.000 0.000 0.000
2 Tb 0.230 0.461 0.076
3 Tb 0.770 0.539 0.924
4 Pm 0.077 0.155 0.694
5 Pm 0.154 0.308 0.383
6 Pm 0.307 0.617 0.771
7 Pm 0.461 0.921 0.152
8 Pm 0.539 0.079 0.848
9 Pm 0.693 0.383 0.229
10 Pm 0.846 0.692 0.617
11 Pm 0.923 0.845 0.306
12 Sm 0.385 0.769 0.461
13 Sm 0.615 0.231 0.539

=====

3.
Structure and calculated powder XRD pattern of Rb6Cl5 (DFT lattice parameters and positions (GGA-PBE); λ = 1.5418 Å (Cu Kα)).
Peak positions follow from Bragg's law for the DFT cell and can differ from measured ones.

Top 10 peaks for 15 to 90 degrees two-theta, sorted by position:
Position (°2θ)	Rel. int.
22.81	42
26.40	100
37.68	74
44.51	23
46.60	26
54.35	12
59.70	10
61.41	33
68.03	24
86.49	16

Crystal structure
a = 8.269 Å, b = 8.269 Å, c = 8.270 Å
α = 99.62°, β = 99.62°, γ = 119.98°
Element x y z (fractional)
1 Rb 0.076 0.416 0.747
2 Rb 0.245 0.245 0.254
3 Rb 0.416 0.076 0.747
4 Rb 0.584 0.924 0.253
5 Rb 0.755 0.755 0.746
6 Rb 0.924 0.584 0.253
7 Cl 0.000 0.000 0.500
8 Cl 0.167 0.833 0.000
9 Cl 0.334 0.666 0.500
10 Cl 0.666 0.334 0.500
11 Cl 0.833 0.167 0.000

=====

4.
Structure and calculated powder XRD pattern of Ni5PPt6 (DFT lattice parameters and positions (GGA-PBE); λ = 1.5418 Å (Cu Kα)).
Peak positions follow from Bragg's law for the DFT cell and can differ from measured ones.

Top 10 peaks for 15 to 90 degrees two-theta, sorted by position:
Position (°2θ)	Rel. int.
25.43	24
32.22	31
41.48	100
45.53	21
46.87	17
52.23	11
67.40	13
71.76	8
81.36	14
83.30	11

Crystal structure
a = 7.075 Å, b = 7.075 Å, c = 7.075 Å
α = 147.29°, β = 120.65°, γ = 69.44°
Element x y z (fractional)
1 Ni 0.000 0.000 0.000
2 Ni 0.154 0.654 0.500
3 Ni 0.308 0.308 0.000
4 Ni 0.692 0.692 0.000
5 Ni 0.846 0.346 0.500
6 P 0.500 0.000 0.500
7 Pt 0.105 0.836 0.268
8 Pt 0.280 0.500 0.780
9 Pt 0.432 0.164 0.268
10 Pt 0.568 0.836 0.732
11 Pt 0.720 0.500 0.220
12 Pt 0.895 0.164 0.732

=====

5.
Structure and calculated powder XRD pattern of Nd3SmB2N6 (DFT lattice parameters and positions (GGA-PBE); λ = 1.5418 Å (Cu Kα)).
Peak positions follow from Bragg's law for the DFT cell and can differ from measured ones.

Top 10 peaks for 15 to 90 degrees two-theta, sorted by position:
Position (°2θ)	Rel. int.
18.02	24
22.81	42
31.49	100
33.45	92
39.23	25
46.59	44
56.06	19
57.32	36
75.79	18
79.02	17

Crystal structure
a = 5.683 Å, b = 5.683 Å, c = 6.388 Å
α = 90.00°, β = 90.00°, γ = 120.00°
Element x y z (fractional)
1 Nd 0.000 0.000 0.000
2 Nd 0.333 0.667 0.661
3 Nd 0.667 0.333 0.339
4 Sm 0.000 0.000 0.500
5 B 0.333 0.667 0.244
6 B 0.667 0.333 0.756
7 N 0.186 0.372 0.269
8 N 0.186 0.814 0.269
9 N 0.372 0.186 0.731
10 N 0.628 0.814 0.269
11 N 0.814 0.186 0.731
12 N 0.814 0.628 0.731

=====

6.
Structure and calculated powder XRD pattern of CsLiScTe2 (DFT lattice parameters and positions (GGA-PBE); λ = 1.5418 Å (Cu Kα)).
Peak positions follow from Bragg's law for the DFT cell and can differ from measured ones.

Top 10 peaks for 15 to 90 degrees two-theta, sorted by position:
Position (°2θ)	Rel. int.
24.82	100
25.78	19
26.75	20
33.36	17
37.49	23
42.48	9
43.11	9
44.89	17
46.09	19
60.36	10

Crystal structure
a = 8.761 Å, b = 8.761 Å, c = 6.911 Å
α = 90.00°, β = 90.00°, γ = 135.29°
Element x y z (fractional)
1 Cs 0.250 0.750 0.761
2 Cs 0.750 0.250 0.239
3 Li 0.000 0.000 0.000
4 Li 0.500 0.500 0.000
5 Sc 0.250 0.250 0.500
6 Sc 0.750 0.750 0.500
7 Te 0.110 0.890 0.277
8 Te 0.390 0.610 0.277
9 Te 0.610 0.390 0.723
10 Te 0.890 0.110 0.723

=====

Please write out number 4 again, unchanged.
Structure and calculated powder XRD pattern of Ni5PPt6 (DFT lattice parameters and positions (GGA-PBE); λ = 1.5418 Å (Cu Kα)).
Peak positions follow from Bragg's law for the DFT cell and can differ from measured ones.

Top 10 peaks for 15 to 90 degrees two-theta, sorted by position:
Position (°2θ)	Rel. int.
25.43	24
32.22	31
41.48	100
45.53	21
46.87	17
52.23	11
67.40	13
71.76	8
81.36	14
83.30	11

Crystal structure
a = 7.075 Å, b = 7.075 Å, c = 7.075 Å
α = 147.29°, β = 120.65°, γ = 69.44°
Element x y z (fractional)
1 Ni 0.000 0.000 0.000
2 Ni 0.154 0.654 0.500
3 Ni 0.308 0.308 0.000
4 Ni 0.692 0.692 0.000
5 Ni 0.846 0.346 0.500
6 P 0.500 0.000 0.500
7 Pt 0.105 0.836 0.268
8 Pt 0.280 0.500 0.780
9 Pt 0.432 0.164 0.268
10 Pt 0.568 0.836 0.732
11 Pt 0.720 0.500 0.220
12 Pt 0.895 0.164 0.732